Diffraction record for Li2TlIBr2. The powder X-ray diffraction pattern is calculated, not measured: it uses a PBE-relaxed structure and Cu Kα, 1.54184 Å.
Lines closer than 0.1° are merged.

Most intense lines, 5° ≤ 2θ ≤ 70°, low angle first:
(1 1 -1), 19.58 deg, rel. 58
(1 1 1), 23.16 deg, rel. 29
(0 1 2), 24.93 deg, rel. 61
(1 1 -2), 25.09 deg, rel. 35
(2 0 -2), 27.68 deg, rel. 31
(0 2 0), 27.97 deg, rel. 69
(2 1 0), 28.99 deg, rel. 100
(0 0 3), 31.12 deg, rel. 37
(0 2 3), 42.33 deg, rel. 34
(2 1 3), 48.52 deg, rel. 28

Structural model:
Cell lengths 7.353, 6.380, 9.011 Å; angles 90.00, 106.91, 90.00 degrees
Positions (direct):
Li  0.116  0.002  0.193
Li  0.116  0.498  0.193
Li  0.884  0.502  0.807
Li  0.884  0.998  0.807
Tl  0.369  0.250  0.654
Tl  0.631  0.750  0.346
I  0.196  0.750  0.961
I  0.804  0.250  0.039
Br  0.077  0.750  0.389
Br  0.386  0.250  0.303
Br  0.614  0.750  0.697
Br  0.923  0.250  0.611